# CeMgBeH6
Computed powder X-ray diffraction pattern, Cu Kα. Input: a cell relaxed with GGA-PBE.
Neutral-atom scattering factors, no anomalous dispersion.

Structure:
```
data_CeMgBeH6
_chemical_formula_sum 'Ce2 Mg2 Be2 H12'
_symmetry_space_group_name_H-M 'C 1 m 1'
_symmetry_Int_Tables_number 8
_symmetry_space_group_name_Hall 'C -2y'
_cell_length_a 7.6501
_cell_length_b 4.4168
_cell_length_c 4.5415
_cell_angle_alpha 90.00
_cell_angle_beta 90.07
_cell_angle_gamma 90.00
loop_
_atom_site_label
_atom_site_type_symbol
_atom_site_fract_x
_atom_site_fract_y
_atom_site_fract_z
Ce1 Ce 0.0000 0.0000 0.0000
Mg1 Mg 0.1667 0.5000 0.5000
Be1 Be 0.3333 0.0000 0.5000
H1 H 0.2584 0.2246 0.2330
H2 H 0.2580 0.2246 0.7678
H3 H 0.4834 0.0000 0.2317
H4 H 0.4830 0.0000 0.7667
```

Main lines, sorted by position (10 to 90 degrees two-theta):
19.55°, I = 23, hkl 0 0 1; 23.25°, I = 59, hkl 2 0 0; 30.56°, I = 100, hkl 2 0 1; 40.86°, I = 26, hkl 3 1 0; 45.68°, I = 16, hkl 3 1 1; 46.51°, I = 21, hkl 2 0 2; 51.87°, I = 23, hkl 4 0 1; 58.28°, I = 19, hkl 3 1 2; 66.42°, I = 11, hkl 2 0 3; 68.06°, I = 20, hkl 5 1 1